1.
This entry pairs a crystal structure of Mg14CdSn with its calculated X-ray powder pattern. Radiation: copper Kα. Structure: a DFT-relaxed cell (PBE, the Materials Project).
Peak positions follow from Bragg's law for the DFT cell and can differ from measured ones.

Principal peaks in the range 2θ = 5–70°, in order of rising 2θ:
| 2theta | intensity |
| --- | --- |
| 16.12 | 46 |
| 23.44 | 40 |
| 32.56 | 29 |
| 34.19 | 27 |
| 36.91 | 100 |
| 63.00 | 20 |

Structure:
Cell lengths 6.351, 6.351, 10.490 Å; angles 90.00, 90.00, 120.00 degrees
Element x y z (fractional)
Mg  0.000  0.000  0.249
Mg  0.000  0.000  0.751
Mg  0.333  0.166  0.500
Mg  0.334  0.167  0.000
Mg  0.500  0.001  0.247
Mg  0.500  0.001  0.753
Mg  0.500  0.500  0.247
Mg  0.500  0.500  0.753
Mg  0.833  0.167  0.000
Mg  0.833  0.666  0.000
Mg  0.834  0.166  0.500
Mg  0.834  0.667  0.500
Mg  0.999  0.500  0.247
Mg  0.999  0.500  0.753
Cd  0.333  0.667  0.000
Sn  0.333  0.667  0.500

=====

2.
This entry pairs a crystal structure of Sm3GaFeS7 with its calculated X-ray powder pattern. Radiation: copper Kα. Structure: a DFT-relaxed cell (PBE, the Materials Project).
Peak positions follow from Bragg's law for the DFT cell and can differ from measured ones.

Principal peaks in the range 2θ = 5–70°, in order of rising 2θ:
| 2theta | intensity |
| --- | --- |
| 25.42 | 100 |
| 27.67 | 22 |
| 34.77 | 30 |
| 36.02 | 36 |
| 36.50 | 38 |
| 40.55 | 22 |

Structure:
Cell lengths 9.848, 9.848, 6.148 Å; angles 90.00, 90.00, 120.00 degrees
Element x y z (fractional)
Sm  0.150  0.374  0.000
Sm  0.224  0.850  0.000
Sm  0.374  0.224  0.500
Sm  0.626  0.776  0.000
Sm  0.776  0.150  0.500
Sm  0.850  0.626  0.500
Ga  0.333  0.667  0.575
Ga  0.667  0.333  0.075
Fe  0.000  0.000  0.190
Fe  0.000  0.000  0.690
S  0.091  0.572  0.730
S  0.097  0.233  0.423
S  0.137  0.903  0.423
S  0.233  0.137  0.923
S  0.333  0.667  0.209
S  0.428  0.519  0.730
S  0.481  0.909  0.730
S  0.519  0.091  0.230
S  0.572  0.481  0.230
S  0.667  0.333  0.709
S  0.767  0.863  0.423
S  0.863  0.097  0.923
S  0.903  0.767  0.923
S  0.909  0.428  0.230

=====

3.
This entry pairs a crystal structure of LuInNi4 with its calculated X-ray powder pattern. Radiation: copper Kα. Structure: a DFT-relaxed cell (PBE, the Materials Project).
Peak positions follow from Bragg's law for the DFT cell and can differ from measured ones.

Principal peaks in the range 2θ = 5–70°, in order of rising 2θ:
| 2theta | intensity |
| --- | --- |
| 22.00 | 11 |
| 36.31 | 59 |
| 42.86 | 100 |
| 44.86 | 18 |
| 65.32 | 21 |
| 69.83 | 30 |

Structure:
Cell lengths 4.949, 4.949, 4.949 Å; angles 60.00, 60.00, 60.00 degrees
Element x y z (fractional)
Lu  0.000  0.000  0.000
In  0.250  0.250  0.250
Ni  0.127  0.624  0.624
Ni  0.624  0.127  0.624
Ni  0.624  0.624  0.127
Ni  0.624  0.624  0.624